No. 1
This entry pairs a crystal structure of HoPd2Pt2 with its simulated XRD peak list. Radiation: a wavelength of 1.5418 Å. Structure: DFT lattice parameters and positions (GGA-PBE).
Neutral-atom scattering factors, no anomalous dispersion.

Most intense lines, 2θ = 10–90°, in order of rising 2θ:
2θ (°)  I/Imax  index
23.3  34  1 0 1
33.6  47  0 0 4
38.2  100  1 1 0
51.8  84  1 1 4
79.0  24  3 0 4
83.2  21  1 1 8

Structural model:
a = 4.7102 Å, b = 4.7102 Å, c = 10.6758 Å
α = 90.00°, β = 90.00°, γ = 120.00°
Space group P6_3/mmc (No. 194)
Asymmetric unit:
Ho 0.0000 0.0000 0.2500 x2
Pd 0.3333 0.6667 0.0008 x4
Pt 0.0000 0.0000 0.0000 x2
Pt 0.3333 0.6667 0.2500 x2

***

No. 2
This entry pairs a crystal structure of Ho5HPb2 with its simulated XRD peak list. Radiation: a wavelength of 1.5418 Å. Structure: DFT lattice parameters and positions (GGA-PBE).
Neutral-atom scattering factors, no anomalous dispersion.

Most intense lines, 2θ = 10–90°, in order of rising 2θ:
2θ (°)  I/Imax  index
32.7  100  2 0 2
36.7  36  2 2 0
40.2  14  0 0 4
52.9  13  4 0 0
55.6  23  2 2 4
63.6  30  4 2 2

Structural model:
a = 6.9261 Å, b = 6.9261 Å, c = 8.9673 Å
α = 90.00°, β = 90.00°, γ = 90.00°
Space group I4mm (No. 107)
Asymmetric unit:
Ho 0.0000 0.0000 0.0000 x2
Ho 0.2505 0.2505 0.2453 x8
H 0.0000 0.0000 0.2475 x2
Pb 0.0000 0.5000 0.4959 x4

***

No. 3
This entry pairs a crystal structure of CeHoAs2Rh2 with its simulated XRD peak list. Radiation: a wavelength of 1.5418 Å. Structure: DFT lattice parameters and positions (GGA-PBE).
Neutral-atom scattering factors, no anomalous dispersion.

Most intense lines, 2θ = 10–90°, in order of rising 2θ:
2θ (°)  I/Imax  index
33.8  100  0 1 2
42.4  51  1 1 0
47.8  11  0 0 4
55.3  24  2 0 2
65.8  25  1 1 4
72.1  22  1 2 2

Structural model:
a = 4.2603 Å, b = 4.2603 Å, c = 7.6138 Å
α = 90.00°, β = 90.00°, γ = 120.00°
Space group P-3m1 (No. 164)
Asymmetric unit:
Ce 0.0000 0.0000 0.0000 x1
Ho 0.0000 0.0000 0.5000 x1
As 0.3333 0.6667 0.2417 x2
Rh 0.3333 0.6667 0.7288 x2

***

Please write out number 3 again, unchanged.
This entry pairs a crystal structure of CeHoAs2Rh2 with its simulated XRD peak list. Radiation: a wavelength of 1.5418 Å. Structure: DFT lattice parameters and positions (GGA-PBE).
Neutral-atom scattering factors, no anomalous dispersion.

Most intense lines, 2θ = 10–90°, in order of rising 2θ:
2θ (°)  I/Imax  index
33.8  100  0 1 2
42.4  51  1 1 0
47.8  11  0 0 4
55.3  24  2 0 2
65.8  25  1 1 4
72.1  22  1 2 2

Structural model:
a = 4.2603 Å, b = 4.2603 Å, c = 7.6138 Å
α = 90.00°, β = 90.00°, γ = 120.00°
Space group P-3m1 (No. 164)
Asymmetric unit:
Ce 0.0000 0.0000 0.0000 x1
Ho 0.0000 0.0000 0.5000 x1
As 0.3333 0.6667 0.2417 x2
Rh 0.3333 0.6667 0.7288 x2